For RbPt2C, a PBE-relaxed structure gives the calculated X-ray diffraction stick pattern in this record (a wavelength of 1.5418 Å).
Peak positions follow from Bragg's law for the DFT cell and can differ from measured ones.

Structural model:
```
data_RbPt2C
_symmetry_space_group_name_H-M 'I 41/a m d'
_symmetry_Int_Tables_number 141
_cell_length_a 5.5901
_cell_length_b 5.5901
_cell_length_c 11.6316
_cell_angle_alpha 90.00
_cell_angle_beta 90.00
_cell_angle_gamma 90.00
loop_
_symmetry_equiv_pos_as_xyz
'x,y,z'
'-x,-y,-z'
'-y+1/4,x+3/4,z+1/4'
'y+1/4,-x+3/4,-z+1/4'
'-x+1/2,-y,z+1/2'
'x+1/2,y,-z+1/2'
'y+1/4,-x+1/4,z+3/4'
'-y+1/4,x+1/4,-z+3/4'
'x,-y,-z'
'-x,y,z'
'-y+1/4,-x+1/4,-z+3/4'
'y+1/4,x+1/4,z+3/4'
'-x+1/2,y,-z+1/2'
'x+1/2,-y,z+1/2'
'y+1/4,x+3/4,-z+1/4'
'-y+1/4,-x+3/4,z+1/4'
'x+1/2,y+1/2,z+1/2'
'-x+1/2,-y+1/2,-z+1/2'
'-y+3/4,x+1/4,z+3/4'
'y+3/4,-x+1/4,-z+3/4'
'-x,-y+1/2,z'
'x,y+1/2,-z'
'y+3/4,-x+3/4,z+1/4'
'-y+3/4,x+3/4,-z+1/4'
'x+1/2,-y+1/2,-z+1/2'
'-x+1/2,y+1/2,z+1/2'
'-y+3/4,-x+3/4,-z+1/4'
'y+3/4,x+3/4,z+1/4'
'-x,y+1/2,-z'
'x,-y+1/2,z'
'y+3/4,x+1/4,-z+3/4'
'-y+3/4,-x+1/4,z+3/4'
loop_
_atom_site_label
_atom_site_type_symbol
_atom_site_fract_x
_atom_site_fract_y
_atom_site_fract_z
Rb1 Rb 0.0000 0.2500 0.3750
Pt1 Pt 0.0000 0.0000 0.0000
C1 C 0.0000 0.2500 0.8750
```

Principal peaks in the range 2θ from 10° to 80°, in order of rising 2θ:
| h k l | two_theta | I (rel.) |
| --- | --- | --- |
| 1 0 1 | 17.6 | 74 |
| 1 0 3 | 28.0 | 77 |
| 0 0 4 | 30.7 | 20 |
| 2 0 2 | 35.6 | 100 |
| 2 1 1 | 36.8 | 75 |
| 1 0 5 | 42.1 | 26 |
| 2 1 3 | 43.1 | 15 |
| 2 2 4 | 56.3 | 42 |
| 2 0 6 | 57.9 | 28 |
| 3 2 1 | 60.2 | 18 |
| 0 0 8 | 64.0 | 15 |
| 4 2 2 | 78.2 | 21 |